Entry 1:
This entry pairs a crystal structure of Nd2ThGe3Rh4 with its theoretical powder XRD pattern. Radiation: Cu Kα, 1.54184 Å. Structure: a GGA-PBE-relaxed structure.
Peak positions follow from Bragg's law for the DFT cell and can differ from measured ones.

Atomic structure:
```
data_Nd2ThGe3Rh4
_space_group_name_H-M_alt 'P -4 m 2'
_space_group_IT_number 115
_space_group_name_Hall 'P -4 -2'
_cell_length_a 4.2986
_cell_length_b 4.2986
_cell_length_c 11.0676
_cell_angle_alpha 90.00
_cell_angle_beta 90.00
_cell_angle_gamma 90.00
loop_
_atom_site_label
_atom_site_fract_x
_atom_site_fract_y
_atom_site_fract_z
Nd1 0.0000 0.5000 0.2202
Th1 0.0000 0.0000 0.5000
Ge1 0.0000 0.5000 0.8792
Ge2 0.5000 0.5000 0.5000
Rh1 0.0000 0.0000 0.0000
Rh2 0.0000 0.5000 0.6559
Rh3 0.5000 0.5000 0.0000
```

Main lines, by angle (10° ≤ 2θ ≤ 90°):
hkl  2theta  d/Å  Rel. int.
1 0 2  26.25  3.395  11.6
1 0 3  31.97  2.800  29.0
1 1 2  33.64  2.664  100.0
1 0 4  38.70  2.327  14.3
2 0 0  42.04  2.149  50.2
1 1 4  44.27  2.046  23.1
1 0 5  46.13  1.968  13.9
2 1 3  53.77  1.705  13.3
2 2 0  60.96  1.520  16.6
3 1 2  71.46  1.320  22.3

***

Entry 2:
This entry pairs a crystal structure of Al5CrGa with its theoretical powder XRD pattern. Radiation: Cu Kα, 1.54184 Å. Structure: a GGA-PBE-relaxed structure.
Peak positions follow from Bragg's law for the DFT cell and can differ from measured ones.

Atomic structure:
```
data_Al5CrGa
_space_group_name_H-M_alt 'I m m 2'
_space_group_IT_number 44
_space_group_name_Hall 'I 2 -2'
_cell_length_a 6.8394
_cell_length_b 9.5344
_cell_length_c 5.0452
_cell_angle_alpha 90.00
_cell_angle_beta 90.00
_cell_angle_gamma 90.00
loop_
_atom_site_label
_atom_site_fract_x
_atom_site_fract_y
_atom_site_fract_z
Al1 0.0000 0.0000 0.0000
Al2 0.0000 0.2403 0.2613
Al3 0.1792 0.5000 0.7821
Cr1 0.0000 0.5000 0.2882
Ga1 0.0000 0.0000 0.5352
```

Main lines, by angle (10° ≤ 2θ ≤ 90°):
hkl  2theta  d/Å  Rel. int.
0 2 0  18.61  4.767  100.0
1 0 1  21.89  4.060  43.7
2 0 0  26.06  3.420  55.3
1 2 1  28.89  3.091  21.8
2 1 1  33.01  2.714  39.9
0 4 0  37.74  2.384  44.9
1 1 2  39.22  2.297  69.9
2 3 1  42.78  2.114  23.7
1 3 2  47.92  1.898  44.1
2 2 2  48.76  1.868  22.5

***

Entry 3:
This entry pairs a crystal structure of Pm4TlPbO with its theoretical powder XRD pattern. Radiation: Cu Kα, 1.54184 Å. Structure: a GGA-PBE-relaxed structure.
Peak positions follow from Bragg's law for the DFT cell and can differ from measured ones.

Atomic structure:
```
data_Pm4TlPbO
_space_group_name_H-M_alt 'C m c m'
_space_group_IT_number 63
_space_group_name_Hall '-C 2c 2'
_cell_length_a 6.6808
_cell_length_b 17.6024
_cell_length_c 6.6667
_cell_angle_alpha 90.00
_cell_angle_beta 90.00
_cell_angle_gamma 90.00
loop_
_atom_site_label
_atom_site_fract_x
_atom_site_fract_y
_atom_site_fract_z
Pm1 0.0000 0.0660 0.2500
Pm2 0.0000 0.4181 0.2500
Pm3 0.2500 0.2500 0.0000
Tl1 0.0000 0.1133 0.7500
Pb1 0.0000 0.3912 0.7500
O1 0.0000 0.2788 0.2500
```

Main lines, by angle (10° ≤ 2θ ≤ 90°):
hkl  2theta  d/Å  Rel. int.
2 0 0  26.72  3.337  29.1
2 2 0  28.61  3.120  76.5
0 6 0  30.47  2.934  34.8
1 5 1  31.71  2.822  26.9
2 4 0  33.71  2.659  100.0
2 0 2  38.14  2.360  66.0
2 6 2  49.58  1.839  36.2
3 5 1  50.42  1.810  14.7
4 2 2  63.20  1.471  16.5
4 4 2  66.12  1.413  29.2

***

Entry 4:
This entry pairs a crystal structure of Na4LaU3N8 with its theoretical powder XRD pattern. Radiation: Cu Kα, 1.54184 Å. Structure: a GGA-PBE-relaxed structure.
Peak positions follow from Bragg's law for the DFT cell and can differ from measured ones.

Atomic structure:
```
data_Na4LaU3N8
_space_group_name_H-M_alt 'R -3 m'
_space_group_IT_number 166
_space_group_name_Hall '-R 3 2"'
_cell_length_a 7.1206
_cell_length_b 7.1206
_cell_length_c 16.9905
_cell_angle_alpha 90.00
_cell_angle_beta 90.00
_cell_angle_gamma 120.00
loop_
_atom_site_label
_atom_site_fract_x
_atom_site_fract_y
_atom_site_fract_z
Na1 0.0000 0.0000 0.0000
Na2 0.0000 0.5000 0.0000
La1 0.0000 0.0000 0.5000
U1 0.0000 0.5000 0.5000
N1 0.0000 0.0000 0.2301
N2 0.0347 0.5174 0.7736
```

Main lines, by angle (10° ≤ 2θ ≤ 90°):
hkl  2theta  d/Å  Rel. int.
0 0 3  15.65  5.664  100.0
0 2 1  29.44  3.034  56.5
2 0 2  30.85  2.898  67.0
0 0 6  31.60  2.832  22.7
0 2 4  35.99  2.495  68.5
2 0 5  39.46  2.283  22.9
2 2 0  51.32  1.780  24.8
2 0 8  52.31  1.749  21.4
2 2 3  54.00  1.698  25.0
2 2 6  61.53  1.507  22.0

***

Entry 5:
This entry pairs a crystal structure of PmDy6Tm12 with its theoretical powder XRD pattern. Radiation: Cu Kα, 1.54184 Å. Structure: a GGA-PBE-relaxed structure.
Peak positions follow from Bragg's law for the DFT cell and can differ from measured ones.

Atomic structure:
```
data_PmDy6Tm12
_space_group_name_H-M_alt 'R -3'
_space_group_IT_number 148
_space_group_name_Hall '-R 3'
_cell_length_a 11.7639
_cell_length_b 11.7639
_cell_length_c 15.0424
_cell_angle_alpha 90.00
_cell_angle_beta 90.00
_cell_angle_gamma 120.00
loop_
_atom_site_label
_atom_site_fract_x
_atom_site_fract_y
_atom_site_fract_z
Pm1 0.0000 0.0000 0.0000
Dy1 0.0073 0.5866 0.6754
Tm1 0.0251 0.1852 0.1922
Tm2 0.0385 0.1862 0.4154
```

Main lines, by angle (10° ≤ 2θ ≤ 90°):
hkl  2theta  d/Å  Rel. int.
3 -1 1  23.85  3.730  11.6
0 1 5  30.99  2.885  42.4
0 3 3  31.83  2.812  22.2
4 -3 1  32.23  2.777  100.0
2 1 4  33.30  2.690  68.4
3 1 2  33.89  2.645  25.7
4 -2 3  35.38  2.537  16.2
3 2 4  45.70  1.985  14.2
2 5 0  56.40  1.631  19.4
1 5 5  59.08  1.564  19.0

***

Entry 6:
This entry pairs a crystal structure of NdSm8In2 with its theoretical powder XRD pattern. Radiation: Cu Kα, 1.54184 Å. Structure: a GGA-PBE-relaxed structure.
Peak positions follow from Bragg's law for the DFT cell and can differ from measured ones.

Atomic structure:
```
data_NdSm8In2
_space_group_name_H-M_alt 'C 1 2/m 1'
_space_group_IT_number 12
_space_group_name_Hall '-C 2y'
_cell_length_a 16.0592
_cell_length_b 6.8442
_cell_length_c 6.6373
_cell_angle_alpha 90.00
_cell_angle_beta 100.54
_cell_angle_gamma 90.00
loop_
_atom_site_label
_atom_site_fract_x
_atom_site_fract_y
_atom_site_fract_z
Nd1 0.0000 0.0000 0.0000
Sm1 0.0885 0.5000 0.9084
Sm2 0.0972 0.2631 0.4122
Sm3 0.2100 0.0000 0.8141
In1 0.2456 0.0000 0.3054
```

Main lines, by angle (10° ≤ 2θ ≤ 90°):
hkl  2theta  d/Å  Rel. int.
4 0 -1  24.12  3.689  36.1
0 2 1  29.47  3.031  91.4
5 1 0  31.19  2.867  56.3
2 0 2  31.53  2.838  100.0
5 1 -1  31.94  2.802  33.3
3 1 -2  32.28  2.774  98.3
2 2 1  32.53  2.752  74.6
6 0 0  34.07  2.631  30.0
4 2 0  34.69  2.586  44.2
2 4 2  63.49  1.465  25.6